1.
Computed PXRD pattern of CsEr6CF12 for copper Kα, from a cell relaxed with PBE.

Cell: 7.175 7.175 7.175 Å, 67.99 67.99 67.99°
Atoms (fractional coordinates):
Cs  0.000  0.000  0.000
Er  0.153  0.495  0.629
Er  0.371  0.847  0.505
Er  0.495  0.629  0.153
Er  0.505  0.371  0.847
Er  0.629  0.153  0.495
Er  0.847  0.505  0.371
C  0.500  0.500  0.500
F  0.051  0.817  0.643
F  0.165  0.581  0.275
F  0.183  0.357  0.949
F  0.275  0.165  0.581
F  0.357  0.949  0.183
F  0.419  0.725  0.835
F  0.581  0.275  0.165
F  0.643  0.051  0.817
F  0.725  0.835  0.419
F  0.817  0.643  0.051
F  0.835  0.419  0.725
F  0.949  0.183  0.357

Most intense lines, 5 to 70 degrees two-theta, in order of rising 2θ:
2θ/deg	Rel. int.
13.84	53.6
26.22	92.0
27.56	88.5
30.07	32.4
40.77	100.0
56.90	32.3

***

2.
Computed PXRD pattern of CoNi14 for copper Kα, from a cell relaxed with PBE.

Cell: 8.533 8.533 4.509 Å, 90.00 90.00 90.00°
Atoms (fractional coordinates):
Co  0.000  0.000  0.000
Co  0.500  0.500  0.500
Ni  0.038  0.367  0.500
Ni  0.065  0.264  0.000
Ni  0.098  0.098  0.500
Ni  0.133  0.538  0.000
Ni  0.182  0.818  0.251
Ni  0.182  0.818  0.749
Ni  0.236  0.565  0.500
Ni  0.264  0.065  0.000
Ni  0.318  0.318  0.249
Ni  0.318  0.318  0.751
Ni  0.367  0.038  0.500
Ni  0.402  0.598  0.000
Ni  0.435  0.764  0.500
Ni  0.462  0.867  0.000
Ni  0.538  0.133  0.000
Ni  0.565  0.236  0.500
Ni  0.598  0.402  0.000
Ni  0.633  0.962  0.500
Ni  0.682  0.682  0.249
Ni  0.682  0.682  0.751
Ni  0.736  0.935  0.000
Ni  0.764  0.435  0.500
Ni  0.818  0.182  0.251
Ni  0.818  0.182  0.749
Ni  0.867  0.462  0.000
Ni  0.902  0.902  0.500
Ni  0.935  0.736  0.000
Ni  0.962  0.633  0.500

Most intense lines, 5 to 70 degrees two-theta, in order of rising 2θ:
2θ/deg	Rel. int.
43.74	96.1
45.08	40.3
45.51	36.9
46.80	72.7
48.39	100.0
49.63	51.8

***

3.
Computed PXRD pattern of Cu2Ag3 for copper Kα, from a cell relaxed with PBE.

Cell: 7.507 7.507 5.742 Å, 102.17 102.17 29.61°
Atoms (fractional coordinates):
Cu  0.106  0.106  0.043
Cu  0.295  0.295  0.133
Cu  0.705  0.705  0.867
Cu  0.894  0.894  0.957
Ag  0.104  0.104  0.559
Ag  0.301  0.301  0.669
Ag  0.496  0.496  0.236
Ag  0.504  0.504  0.764
Ag  0.699  0.699  0.331
Ag  0.896  0.896  0.441

Most intense lines, 5 to 70 degrees two-theta, in order of rising 2θ:
2θ/deg	Rel. int.
39.20	100.0
39.55	98.4
44.46	34.5
45.45	31.0
47.40	29.0
67.01	18.9

***

4.
Computed PXRD pattern of Nb2Bi2PbO9 for copper Kα, from a cell relaxed with PBE.

Cell: 3.934 3.934 24.809 Å, 90.00 90.00 90.00°
Atoms (fractional coordinates):
Nb  0.000  0.000  0.088
Nb  0.000  0.000  0.912
Nb  0.500  0.500  0.411
Nb  0.500  0.500  0.589
Bi  0.000  0.000  0.299
Bi  0.000  0.000  0.701
Bi  0.500  0.500  0.200
Bi  0.500  0.500  0.800
Pb  0.000  0.000  0.500
Pb  0.500  0.500  0.000
O  0.000  0.000  0.000
O  0.000  0.000  0.165
O  0.000  0.000  0.835
O  0.000  0.500  0.080
O  0.000  0.500  0.250
O  0.000  0.500  0.419
O  0.000  0.500  0.581
O  0.000  0.500  0.750
O  0.000  0.500  0.920
O  0.500  0.000  0.080
O  0.500  0.000  0.250
O  0.500  0.000  0.419
O  0.500  0.000  0.581
O  0.500  0.000  0.750
O  0.500  0.000  0.920
O  0.500  0.500  0.335
O  0.500  0.500  0.500
O  0.500  0.500  0.665

Most intense lines, 5 to 70 degrees two-theta, in order of rising 2θ:
2θ/deg	Rel. int.
28.96	100.0
32.17	37.6
36.21	13.4
46.14	21.8
49.21	24.0
55.40	34.0